# 1
Diffraction record for Al5C2N6F17. The X-ray powder pattern is computed, not measured: it uses a GGA-PBE-relaxed structure and λ = 1.5418 Å (Cu Kα).
Peak positions follow from Bragg's law for the DFT cell and can differ from measured ones.

Structure:
```
Al5C2N6F17
1.0
4.822 -10.505 0.000
4.822 10.505 0.000
0.000 0.000 3.657
Al C N F
5 2 6 17
Direct
0.000 0.000 0.000 Al
0.230 0.400 0.000 Al
0.400 0.230 0.000 Al
0.600 0.770 0.000 Al
0.770 0.600 0.000 Al
0.237 0.763 0.500 C
0.763 0.237 0.500 C
0.142 0.609 0.500 N
0.174 0.826 0.500 N
0.391 0.858 0.500 N
0.609 0.142 0.500 N
0.826 0.174 0.500 N
0.858 0.391 0.500 N
0.000 0.000 0.500 F
0.070 0.194 0.000 F
0.100 0.434 0.000 F
0.194 0.070 0.000 F
0.233 0.400 0.500 F
0.359 0.359 0.000 F
0.394 0.606 0.000 F
0.400 0.233 0.500 F
0.434 0.100 0.000 F
0.566 0.900 0.000 F
0.600 0.767 0.500 F
0.606 0.394 0.000 F
0.641 0.641 0.000 F
0.767 0.600 0.500 F
0.806 0.930 0.000 F
0.900 0.566 0.000 F
0.930 0.806 0.000 F
```

Main lines, by angle (10 to 90 degrees two-theta):
- 2θ 23.09, rel. 51
- 2θ 24.34, rel. 48
- 2θ 25.80, rel. 100
- 2θ 28.08, rel. 76
- 2θ 49.87, rel. 64
- 2θ 52.21, rel. 54

# 2
Diffraction record for Al2Fe8C. The X-ray powder pattern is computed, not measured: it uses a GGA-PBE-relaxed structure and λ = 1.5418 Å (Cu Kα).
Peak positions follow from Bragg's law for the DFT cell and can differ from measured ones.

Structure:
```
Al2Fe8C
1.0
3.528 0.000 0.000
0.000 3.528 0.000
0.000 0.000 10.035
Al Fe C
2 8 1
Direct
0.000 0.000 0.188 Al
0.000 0.000 0.812 Al
0.000 0.500 0.000 Fe
0.000 0.500 0.381 Fe
0.000 0.500 0.619 Fe
0.500 0.000 0.000 Fe
0.500 0.000 0.381 Fe
0.500 0.000 0.619 Fe
0.500 0.500 0.190 Fe
0.500 0.500 0.810 Fe
0.000 0.000 0.500 C
```

Main lines, by angle (10 to 90 degrees two-theta):
- 2θ 40.37, rel. 49
- 2θ 45.18, rel. 30
- 2θ 45.35, rel. 100
- 2θ 51.82, rel. 51
- 2θ 71.16, rel. 28
- 2θ 86.93, rel. 18

# 3
Diffraction record for PrAlFeC. The X-ray powder pattern is computed, not measured: it uses a GGA-PBE-relaxed structure and λ = 1.5418 Å (Cu Kα).
Peak positions follow from Bragg's law for the DFT cell and can differ from measured ones.

Structure:
```
PrAlFeC
1.0
3.208 0.000 0.000
0.000 1.826 5.460
0.000 -1.826 5.460
Pr Al Fe C
1 1 1 1
Direct
0.000 0.000 0.000 Pr
0.500 0.736 0.736 Al
0.000 0.279 0.279 Fe
0.500 0.367 0.367 C
```

Main lines, by angle (10 to 90 degrees two-theta):
- 2θ 25.72, rel. 89
- 2θ 27.81, rel. 60
- 2θ 32.80, rel. 61
- 2θ 34.80, rel. 90
- 2θ 38.24, rel. 100
- 2θ 45.11, rel. 76

# 4
Diffraction record for ThAlFe2C. The X-ray powder pattern is computed, not measured: it uses a GGA-PBE-relaxed structure and λ = 1.5418 Å (Cu Kα).
Peak positions follow from Bragg's law for the DFT cell and can differ from measured ones.

Structure:
```
ThAlFe2C
1.0
2.034 -5.440 0.000
2.034 5.440 0.000
0.000 0.000 6.733
Th Al Fe C
2 2 4 2
Direct
0.064 0.936 0.750 Th
0.936 0.064 0.250 Th
0.221 0.779 0.250 Al
0.779 0.221 0.750 Al
0.341 0.659 0.569 Fe
0.341 0.659 0.931 Fe
0.659 0.341 0.069 Fe
0.659 0.341 0.431 Fe
0.500 0.500 0.000 C
0.500 0.500 0.500 C
```

Main lines, by angle (10 to 90 degrees two-theta):
- 2θ 20.99, rel. 18
- 2θ 23.35, rel. 23
- 2θ 26.89, rel. 20
- 2θ 35.59, rel. 100
- 2θ 35.75, rel. 52
- 2θ 64.13, rel. 20

# 5
Diffraction record for ThAlFeC. The X-ray powder pattern is computed, not measured: it uses a GGA-PBE-relaxed structure and λ = 1.5418 Å (Cu Kα).
Peak positions follow from Bragg's law for the DFT cell and can differ from measured ones.

Structure:
```
ThAlFeC
1.0
-1.815 1.815 5.155
1.815 -1.815 5.155
1.815 1.815 -5.155
Th Al Fe C
1 1 1 1
Direct
0.000 0.000 0.000 Th
0.301 0.301 0.000 Al
0.692 0.692 0.000 Fe
0.501 0.501 0.000 C
```

Main lines, by angle (10 to 90 degrees two-theta):
- 2θ 17.20, rel. 52
- 2θ 26.02, rel. 93
- 2θ 34.95, rel. 67
- 2θ 35.98, rel. 100
- 2θ 50.15, rel. 29
- 2θ 63.35, rel. 39

# 6
Diffraction record for TmAlFe2C. The X-ray powder pattern is computed, not measured: it uses a GGA-PBE-relaxed structure and λ = 1.5418 Å (Cu Kα).
Peak positions follow from Bragg's law for the DFT cell and can differ from measured ones.

Structure:
```
TmAlFe2C
1.0
1.825 -5.307 0.000
1.825 5.307 0.000
0.000 0.000 7.100
Tm Al Fe C
2 2 4 2
Direct
0.043 0.957 0.750 Tm
0.957 0.043 0.250 Tm
0.234 0.766 0.250 Al
0.766 0.234 0.750 Al
0.336 0.664 0.555 Fe
0.336 0.664 0.945 Fe
0.664 0.336 0.055 Fe
0.664 0.336 0.445 Fe
0.500 0.500 0.000 C
0.500 0.500 0.500 C
```

Main lines, by angle (10 to 90 degrees two-theta):
- 2θ 30.29, rel. 37
- 2θ 35.33, rel. 51
- 2θ 36.13, rel. 38
- 2θ 36.30, rel. 100
- 2θ 37.60, rel. 41
- 2θ 49.96, rel. 21

# 7
Diffraction record for YAlFe2C. The X-ray powder pattern is computed, not measured: it uses a GGA-PBE-relaxed structure and λ = 1.5418 Å (Cu Kα).
Peak positions follow from Bragg's law for the DFT cell and can differ from measured ones.

Structure:
```
YAlFe2C
1.0
1.949 -5.265 0.000
1.949 5.265 0.000
0.000 0.000 6.854
Y Al Fe C
2 2 4 2
Direct
0.050 0.950 0.750 Y
0.950 0.050 0.250 Y
0.232 0.768 0.250 Al
0.768 0.232 0.750 Al
0.336 0.664 0.568 Fe
0.336 0.664 0.932 Fe
0.664 0.336 0.068 Fe
0.664 0.336 0.432 Fe
0.500 0.500 0.000 C
0.500 0.500 0.500 C
```

Main lines, by angle (10 to 90 degrees two-theta):
- 2θ 34.38, rel. 67
- 2θ 35.92, rel. 100
- 2θ 36.57, rel. 46
- 2θ 36.87, rel. 48
- 2θ 43.16, rel. 32
- 2θ 46.60, rel. 35

# 8
Diffraction record for Tm2Al2Ge2C. The X-ray powder pattern is computed, not measured: it uses a GGA-PBE-relaxed structure and λ = 1.5418 Å (Cu Kα).
Peak positions follow from Bragg's law for the DFT cell and can differ from measured ones.

Structure:
```
Tm2Al2Ge2C
1.0
-2.058 2.058 7.337
2.058 -2.058 7.337
2.058 2.058 -7.337
Tm Al Ge C
2 2 2 1
Direct
0.161 0.161 0.000 Tm
0.839 0.839 0.000 Tm
0.000 0.500 0.500 Al
0.500 0.000 0.500 Al
0.366 0.366 0.000 Ge
0.634 0.634 0.000 Ge
0.000 0.000 0.000 C
```

Main lines, by angle (10 to 90 degrees two-theta):
- 2θ 24.26, rel. 38
- 2θ 28.34, rel. 49
- 2θ 30.73, rel. 100
- 2θ 33.12, rel. 36
- 2θ 39.53, rel. 82
- 2θ 44.01, rel. 58

# 9
Diffraction record for Y2Al2Ge2C. The X-ray powder pattern is computed, not measured: it uses a GGA-PBE-relaxed structure and λ = 1.5418 Å (Cu Kα).
Peak positions follow from Bragg's law for the DFT cell and can differ from measured ones.

Structure:
```
Y2Al2Ge2C
1.0
-2.074 2.074 7.456
2.074 -2.074 7.456
2.074 2.074 -7.456
Y Al Ge C
2 2 2 1
Direct
0.161 0.161 0.000 Y
0.839 0.839 0.000 Y
0.000 0.500 0.500 Al
0.500 0.000 0.500 Al
0.368 0.368 0.000 Ge
0.632 0.632 0.000 Ge
0.000 0.000 0.000 C
```

Main lines, by angle (10 to 90 degrees two-theta):
- 2θ 23.87, rel. 37
- 2θ 30.48, rel. 89
- 2θ 32.81, rel. 32
- 2θ 37.13, rel. 30
- 2θ 39.08, rel. 100
- 2θ 43.64, rel. 61

# 10
Diffraction record for KAlH2CO5. The X-ray powder pattern is computed, not measured: it uses a GGA-PBE-relaxed structure and λ = 1.5418 Å (Cu Kα).
Peak positions follow from Bragg's law for the DFT cell and can differ from measured ones.

Structure:
```
KAlH2CO5
1.0
3.257 -5.939 0.000
3.257 5.939 0.000
0.000 0.000 5.715
K Al H C O
2 2 4 2 10
Direct
0.154 0.846 0.750 K
0.846 0.154 0.250 K
0.500 0.500 0.000 Al
0.500 0.500 0.500 Al
0.136 0.297 0.750 H
0.297 0.136 0.250 H
0.703 0.864 0.750 H
0.864 0.703 0.250 H
0.285 0.715 0.250 C
0.715 0.285 0.750 C
0.176 0.824 0.250 O
0.293 0.320 0.750 O
0.320 0.293 0.250 O
0.339 0.661 0.051 O
0.339 0.661 0.449 O
0.661 0.339 0.551 O
0.661 0.339 0.949 O
0.680 0.707 0.750 O
0.707 0.680 0.250 O
0.824 0.176 0.750 O
```

Main lines, by angle (10 to 90 degrees two-theta):
- 2θ 15.51, rel. 67
- 2θ 26.34, rel. 60
- 2θ 27.38, rel. 96
- 2θ 31.31, rel. 49
- 2θ 35.12, rel. 100
- 2θ 44.87, rel. 47